Calculated powder XRD pattern of Fe3HgF for Cu Kα (λ = 1.5418 Å), from DFT lattice parameters and positions (PBE+U).
Lines closer than 0.1° are merged.

Cell and atoms:
```
data_Fe3HgF
_chemical_formula_sum 'Fe3 Hg1 F1'
_space_group_name_H-M_alt 'P m -3 m'
_space_group_IT_number 221
_space_group_name_Hall '-P 4 2 3'
_cell_length_a 4.2584
_cell_length_b 4.2584
_cell_length_c 4.2584
_cell_angle_alpha 90.00
_cell_angle_beta 90.00
_cell_angle_gamma 90.00
loop_
_atom_site_label
_atom_site_type_symbol
_atom_site_fract_x
_atom_site_fract_y
_atom_site_fract_z
Fe1 Fe 0.0000 0.0000 0.5000
Hg1 Hg 0.5000 0.5000 0.5000
F1 F 0.0000 0.0000 0.0000
```

The 12 most intense peaks (15° ≤ 2θ ≤ 90°), by angle:
two_theta  d_spacing  Rel. int.  index
20.9  4.258  32.2  1 0 0
29.7  3.011  52.1  1 1 0
36.5  2.459  100.0  1 1 1
42.5  2.129  60.1  2 0 0
47.8  1.904  17.6  2 1 0
52.6  1.738  21.9  2 1 1
61.6  1.506  38.0  2 2 0
65.8  1.419  9.3  3 0 0
69.8  1.347  9.6  3 1 0
73.8  1.284  37.2  3 1 1
77.7  1.229  12.6  2 2 2
85.3  1.138  11.9  3 2 1